# ScBeAu2
Theoretical powder XRD pattern, λ = 1.5418 Å (Cu Kα). Input: a structure optimized by DFT (PBE).
No peak broadening, texture or thermal motion is included.

Cell and atoms:
```
data_ScBeAu2
_space_group_name_H-M_alt 'F -4 3 m'
_space_group_IT_number 216
_space_group_name_Hall 'F -4 2 3'
_cell_length_a 6.432
_cell_length_b 6.432
_cell_length_c 6.432
_cell_angle_alpha 90.00
_cell_angle_beta 90.00
_cell_angle_gamma 90.00
loop_
_atom_site_label
_atom_site_fract_x
_atom_site_fract_y
_atom_site_fract_z
Sc1 0.000 0.000 0.000
Be1 0.250 0.250 0.750
Au1 0.000 0.000 0.500
Au2 0.250 0.250 0.250
```

Largest 8 diffraction maxima, by intensity, 2θ from 10° to 90°:
2θ (°)  d/Å  I_rel
39.6  2.274  100
24.0  3.714  72
46.8  1.939  38
71.9  1.313  35
57.3  1.608  17
63.0  1.476  16
77.0  1.238  12
85.4  1.137  11